(1)
Structure and computed X-ray diffraction stick pattern of Sr3Hg6Bi5 (a structure optimized by DFT (GGA-PBE); copper Kα).

Structure:
Cell: 5.318 15.708 10.607 Å, 90.00 90.00 90.00°
Space group Pmmn (No. 59, origin choice 2)
One atom of each set of equivalent atoms:
Sr  0.250  0.056  0.248 [4 per cell]
Sr  0.250  0.750  0.197 [2 per cell]
Hg  0.250  0.055  0.581 [4 per cell]
Hg  0.250  0.250  0.056 [2 per cell]
Hg  0.250  0.250  0.412 [2 per cell]
Hg  0.250  0.589  0.968 [4 per cell]
Bi  0.250  0.095  0.859 [4 per cell]
Bi  0.250  0.640  0.507 [4 per cell]
Bi  0.250  0.750  0.785 [2 per cell]

Top 10 peaks for 2θ from 15° to 90°, in order of rising 2θ:
hkl 0 0 2, 16.72°, d 5.303, rel. 373; hkl 1 3 2, 29.27°, d 3.052, rel. 1000; hkl 1 2 3, 32.48°, d 2.757, rel. 730; hkl 1 5 0, 33.12°, d 2.705, rel. 326; hkl 2 0 0, 33.71°, d 2.659, rel. 886; hkl 1 5 1, 34.21°, d 2.621, rel. 451; hkl 0 6 0, 34.25°, d 2.618, rel. 326; hkl 1 3 3, 34.96°, d 2.566, rel. 342; hkl 1 1 4, 38.36°, d 2.347, rel. 350; hkl 2 6 0, 48.81°, d 1.866, rel. 322

---

(2)
Structure and computed X-ray diffraction stick pattern of Li10SnP2Se12 (a structure optimized by DFT (GGA-PBE); copper Kα).

Structure:
Cell: 9.309 9.309 13.514 Å, 90.00 90.00 90.00°
Space group P4_2mc (No. 105)
One atom of each set of equivalent atoms:
Li  0.000  0.000  0.000 [2 per cell]
Li  0.223  0.275  0.346 [8 per cell]
Li  0.258  0.271  0.088 [8 per cell]
Li  0.500  0.500  0.101 [2 per cell]
Sn  0.500  0.500  0.356 [2 per cell]
P  0.000  0.000  0.243 [2 per cell]
P  0.000  0.500  0.560 [2 per cell]
Se  0.000  0.196  0.837 [4 per cell]
Se  0.000  0.200  0.150 [4 per cell]
Se  0.000  0.300  0.466 [4 per cell]
Se  0.194  0.500  0.655 [4 per cell]
Se  0.273  0.500  0.963 [4 per cell]
Se  0.278  0.500  0.246 [4 per cell]

Top 10 peaks for 2θ from 15° to 90°, in order of rising 2θ:
hkl 1 1 2, 18.82°, d 4.715, rel. 228; hkl 2 1 1, 22.35°, d 3.978, rel. 170; hkl 2 1 2, 25.13°, d 3.544, rel. 215; hkl 2 2 0, 27.09°, d 3.291, rel. 300; hkl 2 0 3, 27.56°, d 3.237, rel. 1000; hkl 2 2 4, 38.18°, d 2.357, rel. 138; hkl 4 0 0, 38.69°, d 2.327, rel. 290; hkl 3 2 4, 44.15°, d 2.051, rel. 288; hkl 4 2 3, 48.16°, d 1.890, rel. 201; hkl 2 2 6, 49.00°, d 1.859, rel. 119

---

(3)
Structure and computed X-ray diffraction stick pattern of ThMn4B4 (a structure optimized by DFT (GGA-PBE); copper Kα).

Structure:
Cell: 7.119 7.119 3.915 Å, 90.00 90.00 90.00°
Space group P4_2/n (No. 86, origin choice 2)
One atom of each set of equivalent atoms:
Th  0.250  0.250  0.250 [2 per cell]
Mn  0.123  0.633  0.136 [8 per cell]
B  0.051  0.917  0.139 [8 per cell]

Top 10 peaks for 2θ from 15° to 90°, in order of rising 2θ:
hkl 1 1 0, 17.62°, d 5.034, rel. 197; hkl 2 0 0, 25.02°, d 3.560, rel. 430; hkl 1 0 1, 25.97°, d 3.431, rel. 857; hkl 2 2 0, 35.67°, d 2.517, rel. 225; hkl 2 1 1, 36.37°, d 2.470, rel. 1000; hkl 1 3 0, 40.05°, d 2.251, rel. 688; hkl 3 0 1, 44.65°, d 2.029, rel. 201; hkl 2 3 1, 51.86°, d 1.763, rel. 347; hkl 4 1 1, 58.41°, d 1.580, rel. 207; hkl 5 0 1, 70.36°, d 1.338, rel. 205

---

(4)
Structure and computed X-ray diffraction stick pattern of BeSnBi2H (a structure optimized by DFT (GGA-PBE); copper Kα).

Structure:
Cell: 5.645 5.645 3.353 Å, 90.00 90.00 90.00°
Space group P4/mmm (No. 123)
One atom of each set of equivalent atoms:
Be  0.000  0.000  0.000 [1 per cell]
Sn  0.500  0.500  0.000 [1 per cell]
Bi  0.000  0.500  0.500 [2 per cell]
H  0.000  0.000  0.500 [1 per cell]

Top 10 peaks for 2θ from 15° to 90°, in order of rising 2θ:
hkl 1 0 0, 15.70°, d 5.645, rel. 147; hkl 1 1 0, 22.27°, d 3.991, rel. 415; hkl 0 0 1, 26.58°, d 3.353, rel. 141; hkl 2 0 0, 31.70°, d 2.822, rel. 652; hkl 1 1 1, 34.95°, d 2.567, rel. 1000; hkl 2 0 1, 41.84°, d 2.159, rel. 175; hkl 2 2 0, 45.45°, d 1.996, rel. 246; hkl 3 1 1, 58.59°, d 1.576, rel. 468; hkl 2 0 2, 64.67°, d 1.441, rel. 177; hkl 2 2 2, 73.82°, d 1.284, rel. 123

---

(5)
Structure and computed X-ray diffraction stick pattern of ScBe9Fe2 (a structure optimized by DFT (GGA-PBE); copper Kα).

Structure:
Cell: 4.3138 4.3138 20.7706 Å, 90.00 90.00 120.00°
Space group R-3m (No. 166, hexagonal axes)
One atom of each set of equivalent atoms:
Sc  0.0000  0.0000  0.0000 [3 per cell]
Be  0.0000  0.0000  0.3334 [6 per cell]
Be  0.0000  0.0000  0.5000 [3 per cell]
Be  0.0050  0.5025  0.9122 [18 per cell]
Fe  0.0000  0.0000  0.1455 [6 per cell]

Top 10 peaks for 2θ from 15° to 90°, in order of rising 2θ:
hkl 1 0 1, 24.21°, d 3.677, rel. 1000; hkl 0 0 6, 25.73°, d 3.462, rel. 391; hkl 1 0 4, 29.45°, d 3.033, rel. 174; hkl 1 0 7, 38.76°, d 2.324, rel. 817; hkl 1 1 0, 41.88°, d 2.157, rel. 732; hkl 0 1 8, 42.40°, d 2.132, rel. 297; hkl 0 2 1, 48.96°, d 1.860, rel. 286; hkl 1 1 6, 49.81°, d 1.831, rel. 727; hkl 2 1 7, 74.41°, d 1.275, rel. 205; hkl 0 3 6, 82.28°, d 1.172, rel. 154

---

(6)
Structure and computed X-ray diffraction stick pattern of Cu2Ag3F6 (a structure optimized by DFT (GGA-PBE); copper Kα).

Structure:
Cell: 6.2833 6.2833 5.5171 Å, 90.00 90.00 120.00°
Space group P-3 (No. 147)
One atom of each set of equivalent atoms:
Cu  0.3333  0.6667  0.2226 [2 per cell]
Ag  0.0000  0.0000  0.0000 [1 per cell]
Ag  0.3333  0.6667  0.7172 [2 per cell]
F  0.0391  0.6870  0.2273 [6 per cell]

Top 10 peaks for 2θ from 15° to 90°, in order of rising 2θ:
hkl 1 0 1, 22.96°, d 3.874, rel. 363; hkl 1 1 0, 28.41°, d 3.142, rel. 1000; hkl 0 0 2, 32.46°, d 2.759, rel. 155; hkl 1 1 1, 32.80°, d 2.730, rel. 129; hkl 0 1 2, 36.52°, d 2.460, rel. 549; hkl 0 2 1, 36.83°, d 2.440, rel. 143; hkl 2 0 2, 46.90°, d 1.937, rel. 259; hkl 3 0 0, 50.30°, d 1.814, rel. 364; hkl 1 2 2, 55.75°, d 1.649, rel. 293; hkl 4 -1 2, 71.22°, d 1.324, rel. 141

---

(7)
Structure and computed X-ray diffraction stick pattern of Pm3Er2Mg3 (a structure optimized by DFT (GGA-PBE); copper Kα).

Structure:
Cell: 3.779 5.515 22.535 Å, 90.00 90.00 90.00°
Space group Immm (No. 71)
One atom of each set of equivalent atoms:
Pm  0.000  0.000  0.000 [2 per cell]
Pm  0.000  0.500  0.126 [4 per cell]
Er  0.000  0.000  0.236 [4 per cell]
Mg  0.000  0.000  0.500 [2 per cell]
Mg  0.000  0.500  0.381 [4 per cell]

Top 10 peaks for 2θ from 15° to 90°, in order of rising 2θ:
hkl 0 1 3, 19.97°, d 4.446, rel. 115; hkl 1 0 1, 23.88°, d 3.727, rel. 166; hkl 0 1 5, 25.52°, d 3.490, rel. 244; hkl 0 0 8, 31.77°, d 2.817, rel. 235; hkl 0 2 0, 32.47°, d 2.757, rel. 271; hkl 1 1 4, 32.83°, d 2.728, rel. 1000; hkl 0 2 8, 46.06°, d 1.971, rel. 168; hkl 1 2 9, 55.23°, d 1.663, rel. 145; hkl 1 1 12, 57.27°, d 1.609, rel. 136; hkl 1 3 4, 58.16°, d 1.586, rel. 195

---

(8)
Structure and computed X-ray diffraction stick pattern of RbBaBe (a structure optimized by DFT (GGA-PBE); copper Kα).

Structure:
Cell: 4.315 4.744 16.929 Å, 97.22 90.39 116.76°
Space group P1 (No. 1)
One atom of each set of equivalent atoms:
Rb  0.000  0.000  0.000 [1 per cell]
Rb  0.216  0.431  0.744 [1 per cell]
Ba  0.729  0.577  0.254 [1 per cell]
Ba  0.801  0.710  0.486 [1 per cell]
Be  0.063  0.239  0.370 [1 per cell]
Be  0.467  0.048  0.370 [1 per cell]

Top 10 peaks for 2θ from 15° to 90°, in order of rising 2θ:
hkl 0 0 4, 21.21°, d 4.189, rel. 1000; hkl 0 1 -2, 22.30°, d 3.986, rel. 345; hkl 0 1 1, 22.59°, d 3.935, rel. 233; hkl 1 -1 0, 23.20°, d 3.834, rel. 523; hkl 1 0 -1, 23.38°, d 3.806, rel. 207; hkl 1 0 1, 24.13°, d 3.688, rel. 444; hkl 0 1 2, 25.09°, d 3.550, rel. 201; hkl 1 0 3, 29.10°, d 3.069, rel. 184; hkl 0 1 5, 36.68°, d 2.450, rel. 190; hkl 1 1 -1, 37.99°, d 2.368, rel. 188